# ErSiBiO5
Calculated powder diffractogram, Cu Ka. Input: a DFT-relaxed cell (GGA-PBE, Alexandria).
Peak positions follow from Bragg's law for the DFT cell and can differ from measured ones.

Main lines, low angle first (2θ from 10° to 80°):
2θ 17.81, I = 56.8, (1 1 -1); 2θ 22.71, I = 28.2, (0 2 1); 2θ 25.83, I = 98.2, (1 1 -2); 2θ 28.15, I = 80.2, (2 0 0); 2θ 31.59, I = 68.5, (0 2 2); 2θ 31.89, I = 100.0, (1 3 0); 2θ 34.39, I = 30.5, (1 1 2); 2θ 36.07, I = 30.0, (2 2 -2); 2θ 52.23, I = 30.4, (3 3 0); 2θ 66.63, I = 28.0, (2 6 0)

Cell and atoms:
a b c (Å): 6.7791 9.3900 7.5931
angles (deg): 90.00 110.75 90.00
Space group C2/c (No. 15)
Asymmetric unit:
1 Er 0.0000 0.0000 0.0000
2 Si 0.0000 0.3202 0.2500
3 Bi 0.0000 0.3306 0.7500
4 O 0.0000 0.1060 0.7500
5 O 0.1228 0.2128 0.1454
6 O 0.1611 0.4236 0.4139

=====

# Sm2BeAsPt6
Calculated powder diffractogram, Cu Ka. Input: a DFT-relaxed cell (GGA-PBE, Alexandria).
Peak positions follow from Bragg's law for the DFT cell and can differ from measured ones.

Main lines, low angle first (2θ from 10° to 80°):
2θ 19.41, I = 4.9, (2 0 0); 2θ 32.46, I = 1.9, (3 1 1); 2θ 33.95, I = 100.0, (2 2 2); 2θ 39.40, I = 62.9, (4 0 0); 2θ 43.11, I = 4.4, (3 3 1); 2θ 51.94, I = 3.2, (3 3 3); 2θ 56.95, I = 42.3, (4 4 0); 2θ 67.98, I = 38.7, (6 2 2); 2θ 71.45, I = 14.0, (4 4 4); 2θ 74.01, I = 2.1, (5 5 1)

Cell and atoms:
a b c (Å): 9.1473 9.1473 9.1473
angles (deg): 90.00 90.00 90.00
Space group Fm-3m (No. 225)
Asymmetric unit:
1 Sm 0.2500 0.2500 0.2500
2 Be 0.0000 0.0000 0.0000
3 As 0.0000 0.0000 0.5000
4 Pt 0.0000 0.0000 0.2369

=====

# SrTmOsO6
Calculated powder diffractogram, Cu Ka. Input: a DFT-relaxed cell (GGA-PBE, Alexandria).
Peak positions follow from Bragg's law for the DFT cell and can differ from measured ones.

Main lines, low angle first (2θ from 10° to 80°):
2θ 16.93, I = 50.8, (0 0 2); 2θ 18.56, I = 14.7, (1 0 0); 2θ 25.22, I = 100.0, (1 0 2); 2θ 32.44, I = 57.1, (1 1 0); 2θ 34.25, I = 13.3, (0 0 4); 2θ 36.81, I = 36.3, (1 1 2); 2θ 41.53, I = 24.9, (2 0 2); 2θ 47.89, I = 56.2, (1 1 4); 2θ 53.66, I = 24.7, (2 1 2); 2θ 57.86, I = 17.6, (3 0 0)

Cell and atoms:
a b c (Å): 5.5203 5.5203 10.4729
angles (deg): 90.00 90.00 120.00
Space group P-31c (No. 163)
Asymmetric unit:
1 Sr 0.0000 0.0000 0.0000
2 Tm 0.3333 0.6667 0.2500
3 Os 0.3333 0.6667 0.7500
4 O 0.0411 0.3891 0.6465